[1]
Diffraction record for K2MgAgF6. The powder X-ray diffraction pattern is computed, not measured: it uses DFT lattice parameters and positions (GGA-PBE) and a wavelength of 1.5418 Å.
No peak broadening, texture or thermal motion is included.

Crystal structure
Cell lengths 8.223, 8.223, 8.223 Å; angles 90.00, 90.00, 90.00 degrees
Space group Fm-3m (No. 225)
Inequivalent atoms, fractional coordinates:
K 0.250 0.250 0.250 [8 per cell]
Mg 0.000 0.000 0.000 [4 per cell]
Ag 0.000 0.000 0.500 [4 per cell]
F 0.000 0.000 0.236 [24 per cell]

Peak list (10 most intense, 10 to 90 degrees two-theta, by angle)
2θ = 18.69°, I = 38, (1 1 1); 2θ = 21.62°, I = 35, (2 0 0); 2θ = 30.76°, I = 100, (2 2 0); 2θ = 36.23°, I = 32, (3 1 1); 2θ = 44.05°, I = 59, (4 0 0); 2θ = 48.24°, I = 18, (3 3 1); 2θ = 54.69°, I = 36, (4 2 2); 2θ = 64.06°, I = 32, (4 4 0); 2θ = 72.74°, I = 16, (6 2 0); 2θ = 89.11°, I = 19, (6 4 2)



[2]
Diffraction record for Na4In2HgPd. The powder X-ray diffraction pattern is computed, not measured: it uses DFT lattice parameters and positions (GGA-PBE) and a wavelength of 1.5418 Å.
No peak broadening, texture or thermal motion is included.

Crystal structure
Cell lengths 4.951, 4.951, 7.196 Å; angles 90.00, 90.00, 90.00 degrees
Space group P-4m2 (No. 115)
Inequivalent atoms, fractional coordinates:
Na 0.000 0.000 0.000 [1 per cell]
Na 0.000 0.500 0.240 [2 per cell]
Na 0.500 0.500 0.500 [1 per cell]
In 0.000 0.500 0.772 [2 per cell]
Hg 0.000 0.000 0.500 [1 per cell]
Pd 0.500 0.500 0.000 [1 per cell]

Peak list (10 most intense, 10 to 90 degrees two-theta, by angle)
2θ = 21.79°, I = 88, (1 0 1); 2θ = 35.79°, I = 100, (1 1 2); 2θ = 36.29°, I = 49, (2 0 0); 2θ = 41.85°, I = 16, (1 0 3); 2θ = 42.73°, I = 31, (2 1 1); 2θ = 52.26°, I = 17, (2 2 0); 2θ = 56.57°, I = 13, (2 1 3); 2θ = 63.98°, I = 16, (2 0 4); 2θ = 64.96°, I = 34, (3 1 2); 2θ = 75.84°, I = 10, (2 2 4)



[3]
Diffraction record for Sr8In4Cu3C5. The powder X-ray diffraction pattern is computed, not measured: it uses DFT lattice parameters and positions (GGA-PBE) and a wavelength of 1.5418 Å.
No peak broadening, texture or thermal motion is included.

Crystal structure
Cell lengths 3.889, 12.756, 19.783 Å; angles 90.00, 90.00, 90.00 degrees
Space group Immm (No. 71)
Inequivalent atoms, fractional coordinates:
Sr 0.000 0.145 0.210 [8 per cell]
Sr 0.000 0.150 0.401 [8 per cell]
In 0.000 0.141 0.000 [4 per cell]
In 0.000 0.500 0.415 [4 per cell]
Cu 0.000 0.500 0.000 [2 per cell]
Cu 0.000 0.500 0.193 [4 per cell]
C 0.000 0.000 0.500 [2 per cell]
C 0.000 0.354 0.194 [8 per cell]

Peak list (10 most intense, 10 to 90 degrees two-theta, by angle)
2θ = 30.87°, I = 92, (0 3 5); 2θ = 31.16°, I = 93, (1 3 0); 2θ = 32.27°, I = 100, (1 0 5); 2θ = 42.52°, I = 16, (0 6 0); 2θ = 45.87°, I = 15, (0 0 10); 2θ = 46.71°, I = 19, (2 0 0); 2θ = 54.37°, I = 27, (1 6 5); 2θ = 56.50°, I = 25, (1 3 10); 2θ = 57.04°, I = 31, (2 3 5); 2θ = 77.45°, I = 11, (3 0 5)